This entry pairs a crystal structure of CsNdTiO4 with its computed powder XRD pattern. Radiation: Cu Kα (weighted mean of Kα1 and Kα2). Structure: a cell relaxed with GGA-PBE.
Lines closer than 0.1° are merged.

Principal peaks in the range 10 to 90 degrees two-theta, in order of falling intensity:
- 2θ 20.9, I = 100.0, (1 1 0)
- 2θ 28.8, I = 59.9, (0 2 0)
- 2θ 27.1, I = 57.8, (0 1 2)
- 2θ 27.4, I = 52.1, (1 1 -2)
- 2θ 11.4, I = 35.0, (0 0 1)
- 2θ 34.7, I = 33.6, (1 1 2)
- 2θ 32.7, I = 30.3, (2 1 -1)
- 2θ 35.4, I = 30.2, (2 1 -2)
- 2θ 23.0, I = 29.0, (0 0 2)
- 2θ 21.7, I = 28.6, (1 0 1)

Structure:
```
14
Lattice="6.127 0.000 0.000 0.000 6.199 0.000 -2.521 0.000 7.748" Properties=species:S:1:pos:R:3 pbc="T T T"
Cs 0.114 1.550 3.324
Cs 3.492 4.650 4.423
Nd -0.553 1.550 7.406
Nd 4.159 4.650 0.342
Ti 1.064 4.650 1.166
Ti 2.542 1.550 6.581
O -2.200 4.650 7.290
O -0.446 4.650 2.201
O 2.297 3.254 1.250
O 2.297 6.045 1.250
O 1.309 0.155 6.497
O 1.309 2.945 6.497
O 4.052 1.550 5.546
O 5.806 1.550 0.457
```